# Ac2AgGeAu6
Computed X-ray powder pattern, Cu Kα (λ = 1.5418 Å). Input: a crystal structure in Alexandria, relaxed with PBE.

Atomic structure:
Unit cell a=5.3048 b=6.5667 c=7.2900 alpha=88.84 beta=75.67 gamma=77.81
Space group P-1 (No. 2)
One atom of each set of equivalent atoms:
Ac 0.0480 0.2715 0.2840 x2
Ag 0.5000 0.0000 0.5000 x1
Ge 0.5000 0.5000 0.0000 x1
Au 0.0328 0.2266 0.7433 x2
Au 0.3233 0.9053 0.9247 x2
Au 0.4761 0.6189 0.3394 x2

Peak list (8 most intense, 10° ≤ 2θ ≤ 80°, in order of rising 2θ)
2θ 29.69, rel. 51.4; 2θ 30.90, rel. 100.0; 2θ 34.51, rel. 94.0; 2θ 35.50, rel. 83.6; 2θ 35.76, rel. 57.8; 2θ 36.30, rel. 90.3; 2θ 37.24, rel. 49.2; 2θ 38.52, rel. 96.3